Structure and calculated powder diffractogram of RbSb2F11 (DFT lattice parameters and positions (GGA-PBE); Cu Kα (λ = 1.5418 Å)).
Peak positions follow from Bragg's law for the DFT cell and can differ from measured ones.

Peak list (10 most intense, 5° ≤ 2θ ≤ 70°, in order of falling intensity)
- 2θ = 19.90°, 4.462 Å, intensity 100.0
- 2θ = 24.52°, 3.630 Å, intensity 99.3
- 2θ = 14.34°, 6.175 Å, intensity 94.1
- 2θ = 22.10°, 4.023 Å, intensity 77.1
- 2θ = 40.34°, 2.236 Å, intensity 45.0
- 2θ = 21.26°, 4.180 Å, intensity 43.8
- 2θ = 27.51°, 3.242 Å, intensity 26.6
- 2θ = 44.59°, 2.032 Å, intensity 22.3
- 2θ = 46.64°, 1.948 Å, intensity 22.1
- 2θ = 32.07°, 2.791 Å, intensity 17.6

Structural model:
a b c (Å): 9.0988 9.0988 9.0988
angles (deg): 126.89 108.71 94.53
Sites, in units of the cell vectors:
Rb (0.2500, 0.2500, 0.0000)
Rb (0.7500, 0.7500, 0.0000)
Sb (0.1827, 0.6128, 0.7955)
Sb (0.3173, 0.1128, 0.4301)
Sb (0.6827, 0.8872, 0.5699)
Sb (0.8173, 0.3872, 0.2045)
F (0.0000, 0.5000, 0.5000)
F (0.0157, 0.3775, 0.1751)
F (0.0811, 0.9870, 0.2880)
F (0.1990, 0.4870, 0.9059)
F (0.2020, 0.3720, 0.5740)
F (0.2024, 0.8406, 0.8249)
F (0.2976, 0.1225, 0.6382)
F (0.2980, 0.8720, 0.1700)
F (0.3010, 0.2069, 0.2880)
F (0.4189, 0.7069, 0.9059)
F (0.4843, 0.6594, 0.3618)
F (0.5000, 0.0000, 0.5000)
F (0.5157, 0.3406, 0.6382)
F (0.5811, 0.2931, 0.0941)
F (0.6990, 0.7931, 0.7120)
F (0.7020, 0.1280, 0.8300)
F (0.7024, 0.8775, 0.3618)
F (0.7976, 0.1594, 0.1751)
F (0.7980, 0.6280, 0.4260)
F (0.8010, 0.5130, 0.0941)
F (0.9189, 0.0130, 0.7120)
F (0.9843, 0.6225, 0.8249)